Starting from a PBE-relaxed structure, the X-ray diffraction stick pattern of Tm6Tl3Ir was computed for Cu Kα (λ = 1.5418 Å).
Lines closer than 0.1° are merged.

Crystal structure
Cell: 6.7387 6.7387 7.3237 Å, 101.46 101.46 63.57°
Fractional coordinates of all 10 atoms:
Tm1 0.1361 0.6420 0.6589
Tm2 0.3338 0.3338 0.1522
Tm3 0.3580 0.8639 0.3411
Tm4 0.6420 0.1361 0.6589
Tm5 0.6662 0.6662 0.8478
Tm6 0.8639 0.3580 0.3411
Tl1 0.0000 0.0000 0.0000
Tl2 0.1736 0.1736 0.7262
Tl3 0.8264 0.8264 0.2738
Ir1 0.5000 0.5000 0.5000

Most intense lines, 10° ≤ 2θ ≤ 80°, low angle first:
20.55°, intensity 292
27.42°, intensity 630
28.09°, intensity 271
30.92°, intensity 1000
31.65°, intensity 446
32.25°, intensity 249
32.87°, intensity 679
33.91°, intensity 821
36.72°, intensity 670
39.02°, intensity 475
51.49°, intensity 322
55.89°, intensity 344